Entry 1:
Diffraction record for MgMn4CuO8. The PXRD pattern is theoretical, not measured: it uses DFT lattice parameters and positions (PBE+U) and λ = 1.5418 Å (Cu Kα).

Structural model:
abc: 5.997 6.079 6.108
angles: 89.25 60.68 60.55
Sites, in units of the cell vectors:
Mg  0.000  0.000  0.000
Mn  0.000  0.000  0.500
Mn  0.500  0.000  0.000
Mn  0.500  0.000  0.500
Mn  0.500  0.500  0.500
Cu  0.000  0.500  0.500
O  0.005  0.211  0.261
O  0.047  0.213  0.694
O  0.452  0.795  0.300
O  0.476  0.790  0.739
O  0.524  0.210  0.261
O  0.548  0.205  0.700
O  0.953  0.787  0.306
O  0.995  0.789  0.739

Most intense lines, 15° ≤ 2θ ≤ 90°, low angle first:
| d/Å | 2theta | Rel. int. | index |
| --- | --- | --- | --- |
| 5.080 | 17.46 | 100 | 0 0 1 |
| 5.050 | 17.56 | 34 | 0 1 0 |
| 2.540 | 35.34 | 20 | 0 0 2 |
| 2.525 | 35.56 | 20 | 0 2 0 |
| 2.456 | 36.59 | 32 | 2 2 0 |
| 2.172 | 41.58 | 57 | 2 0 0 |
| 2.166 | 41.70 | 57 | 2 2 2 |
| 2.140 | 42.23 | 54 | 0 2 -2 |
| 1.527 | 60.66 | 30 | 2 0 4 |
| 1.520 | 60.95 | 29 | 2 4 0 |


Entry 2:
Diffraction record for MgMn4Cu2P6O24. The PXRD pattern is theoretical, not measured: it uses DFT lattice parameters and positions (PBE+U) and λ = 1.5418 Å (Cu Kα).

Structural model:
abc: 8.307 8.359 8.753
angles: 113.56 96.07 117.64
Sites, in units of the cell vectors:
Mg  0.000  0.000  0.000
Mn  0.010  0.800  0.232
Mn  0.247  0.438  0.062
Mn  0.493  0.793  0.720
Mn  0.726  0.390  0.533
Cu  0.373  0.106  0.871
Cu  0.865  0.097  0.382
P  0.124  0.653  0.855
P  0.307  0.308  0.349
P  0.438  0.896  0.419
P  0.601  0.565  0.908
P  0.826  0.297  0.125
P  0.900  0.873  0.619
O  0.057  0.783  0.975
O  0.092  0.019  0.791
O  0.094  0.101  0.288
O  0.195  0.566  0.949
O  0.273  0.910  0.345
O  0.291  0.810  0.819
O  0.294  0.288  0.158
O  0.317  0.493  0.490
O  0.428  0.913  0.600
O  0.431  0.396  0.933
O  0.431  0.702  0.293
O  0.470  0.281  0.392
O  0.542  0.701  0.874
O  0.629  0.156  0.970
O  0.641  0.091  0.459
O  0.657  0.452  0.765
O  0.750  0.892  0.701
O  0.770  0.738  0.095
O  0.814  0.252  0.282
O  0.847  0.647  0.527
O  0.913  0.530  0.197
O  0.929  0.947  0.481
O  0.969  0.463  0.671
O  0.970  0.243  0.049

Most intense lines, 15° ≤ 2θ ≤ 90°, low angle first:
| d/Å | 2theta | Rel. int. | index |
| --- | --- | --- | --- |
| 4.341 | 20.46 | 100 | 1 0 1 |
| 3.959 | 22.46 | 23 | 0 1 1 |
| 3.934 | 22.60 | 23 | 1 0 -2 |
| 3.474 | 25.64 | 39 | 2 -1 1 |
| 2.942 | 30.38 | 31 | -1 2 1 |
| 2.925 | 30.57 | 38 | -2 1 2 |
| 2.727 | 32.84 | 25 | 1 -3 1 |
| 2.511 | 35.76 | 22 | 1 -1 3 |
| 2.499 | 35.93 | 23 | 2 1 0 |
| 2.492 | 36.04 | 23 | 1 2 -3 |


Entry 3:
Diffraction record for MgMn4Cu2P6O24. The PXRD pattern is theoretical, not measured: it uses DFT lattice parameters and positions (PBE+U) and λ = 1.5418 Å (Cu Kα).

Structural model:
abc: 8.389 8.431 8.861
angles: 109.65 98.71 118.90
Sites, in units of the cell vectors:
Mg  0.000  0.000  0.000
Mn  0.172  0.801  0.872
Mn  0.431  0.226  0.578
Mn  0.658  0.858  0.431
Mn  0.940  0.307  0.140
Cu  0.282  0.503  0.736
Cu  0.774  0.547  0.272
P  0.015  0.007  0.297
P  0.253  0.750  0.505
P  0.320  0.316  0.002
P  0.545  0.084  0.231
P  0.713  0.714  0.704
P  0.859  0.315  0.779
O  0.044  0.601  0.354
O  0.061  0.893  0.156
O  0.070  0.509  0.816
O  0.146  0.307  0.055
O  0.181  0.173  0.477
O  0.249  0.688  0.654
O  0.254  0.088  0.945
O  0.311  0.971  0.588
O  0.326  0.355  0.845
O  0.392  0.722  0.422
O  0.399  0.889  0.051
O  0.460  0.180  0.337
O  0.513  0.474  0.161
O  0.515  0.516  0.671
O  0.647  0.016  0.326
O  0.697  0.324  0.685
O  0.704  0.259  0.197
O  0.709  0.707  0.527
O  0.735  0.897  0.843
O  0.842  0.348  0.959
O  0.845  0.840  0.324
O  0.850  0.127  0.672
O  0.900  0.724  0.783
O  0.950  0.119  0.223

Most intense lines, 15° ≤ 2θ ≤ 90°, low angle first:
| d/Å | 2theta | Rel. int. | index |
| --- | --- | --- | --- |
| 4.341 | 20.46 | 100 | 1 0 1 |
| 4.274 | 20.78 | 22 | 1 1 -1 |
| 4.098 | 21.69 | 45 | 1 0 -2 |
| 3.684 | 24.16 | 19 | 0 2 -1 |
| 3.664 | 24.29 | 19 | 2 0 -1 |
| 3.425 | 26.02 | 30 | 1 -2 2 |
| 3.084 | 28.96 | 15 | -2 1 2 |
| 2.744 | 32.63 | 22 | -3 1 1 |
| 2.520 | 35.63 | 19 | 1 -1 3 |
| 2.481 | 36.21 | 35 | 2 1 0 |


Entry 4:
Diffraction record for Sr4MgMn2Cu3S4O4. The PXRD pattern is theoretical, not measured: it uses DFT lattice parameters and positions (PBE+U) and λ = 1.5418 Å (Cu Kα).

Structural model:
abc: 6.116 6.167 9.133
angles: 87.87 70.45 83.64
Sites, in units of the cell vectors:
Sr  0.000  0.000  0.000
Sr  0.119  0.938  0.612
Sr  0.488  0.489  0.000
Sr  0.755  0.554  0.612
Mg  0.451  0.244  0.588
Mn  0.071  0.497  0.847
Mn  0.569  0.993  0.847
Cu  0.098  0.744  0.292
Cu  0.598  0.744  0.291
Cu  0.604  0.245  0.280
S  0.292  0.514  0.431
S  0.436  0.003  0.145
S  0.766  0.975  0.430
S  0.906  0.487  0.145
O  0.338  0.244  0.811
O  0.338  0.744  0.813
O  0.842  0.745  0.804
O  0.845  0.245  0.796

Most intense lines, 15° ≤ 2θ ≤ 90°, low angle first:
| d/Å | 2theta | Rel. int. | index |
| --- | --- | --- | --- |
| 3.984 | 22.32 | 21 | 1 -1 0 |
| 2.887 | 30.97 | 28 | 0 2 1 |
| 2.867 | 31.20 | 42 | 0 0 3 |
| 2.751 | 32.54 | 60 | 1 1 3 |
| 2.635 | 34.02 | 100 | 1 -1 3 |
| 2.496 | 35.97 | 47 | 0 2 -2 |
| 2.483 | 36.18 | 43 | 2 0 3 |
| 2.289 | 39.37 | 46 | 2 2 1 |
| 2.048 | 44.24 | 52 | 2 -2 1 |
| 1.733 | 52.84 | 22 | 1 3 -2 |